Starting from a GGA-PBE-relaxed structure, the powder diffraction line list of Ce5IrCl5 was calculated for Cu Kα (λ = 1.5418 Å).

Structure:
Cell: 5.7307 6.9845 8.2043 Å, 72.33 89.96 65.88°
Positions (direct):
Ce: 0.0000 0.0000 0.0000
Ce: 0.3253 0.3500 0.1529
Ce: 0.3421 0.3181 0.6841
Ce: 0.6579 0.6819 0.3159
Ce: 0.6747 0.6500 0.8471
Ir: 0.5000 0.0000 0.0000
Cl: 0.1542 0.6913 0.8060
Cl: 0.1583 0.6810 0.3497
Cl: 0.5000 0.0000 0.5000
Cl: 0.8417 0.3190 0.6503
Cl: 0.8458 0.3087 0.1940

Top 10 peaks for 15 to 90 degrees two-theta, in order of rising 2θ:
15.37°, 5.766 Å, rel. 39.2, (0 1 1); 17.14°, 5.173 Å, rel. 58.0, (1 0 0); 31.02°, 2.883 Å, rel. 100.0, (0 2 2); 31.22°, 2.865 Å, rel. 99.4, (2 1 0); 31.38°, 2.851 Å, rel. 91.9, (0 1 -2); 44.16°, 2.051 Å, rel. 34.5, (0 1 4); 44.59°, 2.032 Å, rel. 72.0, (2 3 2); 44.85°, 2.021 Å, rel. 67.0, (2 2 -2); 45.25°, 2.004 Å, rel. 32.6, (0 3 0); 55.07°, 1.668 Å, rel. 39.2, (2 0 -4)